1.
MgFeH5: simulated powder diffractogram (Cu Kα, 1.54184 Å), based on the PBE geometry in Alexandria.
Kinematic intensities with the Lorentz-polarization factor, no thermal factor.

Atomic structure:
```
data_MgFeH5
_chemical_formula_sum 'Mg2 Fe2 H10'
_space_group_name_H-M_alt 'I m m 2'
_space_group_IT_number 44
_space_group_name_Hall 'I 2 -2'
_cell_length_a 5.1986
_cell_length_b 6.8928
_cell_length_c 3.2820
_cell_angle_alpha 90.00
_cell_angle_beta 90.00
_cell_angle_gamma 90.00
loop_
_atom_site_label
_atom_site_fract_x
_atom_site_fract_y
_atom_site_fract_z
_atom_site_occupancy
Mg1 0.0000 0.0000 0.0000 1
Fe1 0.0000 0.5000 0.9992 1
H1 0.0000 0.2721 0.9974 1
H2 0.0000 0.5000 0.4994 1
H3 0.1986 0.0000 0.4998 1
```

Main lines, low angle first (10 to 80 degrees two-theta):
21.4°, rel. 47, hkl 1 1 0; 25.9°, rel. 93, hkl 0 2 0; 30.2°, rel. 21, hkl 0 1 1; 32.3°, rel. 100, hkl 1 0 1; 34.5°, rel. 43, hkl 2 0 0; 41.8°, rel. 84, hkl 1 2 1; 43.6°, rel. 38, hkl 2 2 0; 60.4°, rel. 15, hkl 3 0 1; 63.6°, rel. 25, hkl 1 4 1; 66.8°, rel. 20, hkl 3 2 1

***

2.
YMg3Hg4: simulated powder diffractogram (Cu Kα, 1.54184 Å), based on the PBE geometry in Alexandria.
Kinematic intensities with the Lorentz-polarization factor, no thermal factor.

Atomic structure:
```
data_YMg3Hg4
_chemical_formula_sum 'Y3 Mg9 Hg12'
_space_group_name_H-M_alt 'R -3 m'
_space_group_IT_number 166
_space_group_name_Hall '-R 3 2"'
_cell_length_a 4.9429
_cell_length_b 4.9429
_cell_length_c 25.3567
_cell_angle_alpha 90.00
_cell_angle_beta 90.00
_cell_angle_gamma 120.00
loop_
_atom_site_label
_atom_site_fract_x
_atom_site_fract_y
_atom_site_fract_z
_atom_site_occupancy
Y1 0.0000 0.0000 0.0000 1
Mg1 0.0000 0.0000 0.2487 1
Mg2 0.0000 0.0000 0.5000 1
Hg1 0.0000 0.0000 0.1270 1
Hg2 0.0000 0.0000 0.3812 1
```

Main lines, low angle first (10 to 80 degrees two-theta):
25.1°, rel. 100, hkl 1 0 4; 35.2°, rel. 98, hkl 0 1 8; 36.4°, rel. 95, hkl 1 1 0; 44.7°, rel. 24, hkl 0 2 4; 51.5°, rel. 35, hkl 2 0 8; 57.4°, rel. 20, hkl 1 1 12; 58.9°, rel. 21, hkl 2 1 4; 62.5°, rel. 16, hkl 1 0 16; 64.7°, rel. 35, hkl 1 2 8; 65.4°, rel. 17, hkl 3 0 0

***

3.
SmDyIn: simulated powder diffractogram (Cu Kα, 1.54184 Å), based on the PBE geometry in Alexandria.
Kinematic intensities with the Lorentz-polarization factor, no thermal factor.

Atomic structure:
```
data_SmDyIn
_chemical_formula_sum 'Sm2 Dy2 In2'
_space_group_name_H-M_alt 'P 4/n m m'
_space_group_IT_number 129
_cell_length_a 4.6903
_cell_length_b 4.6903
_cell_length_c 8.3636
_cell_angle_alpha 90.00
_cell_angle_beta 90.00
_cell_angle_gamma 90.00
loop_
_space_group_symop_operation_xyz
'x,y,z'
'-x,-y,-z'
'-y+1/2,x,z'
'y+1/2,-x,-z'
'-x+1/2,-y+1/2,z'
'x+1/2,y+1/2,-z'
'y,-x+1/2,z'
'-y,x+1/2,-z'
'x+1/2,-y,-z'
'-x+1/2,y,z'
'-y,-x,-z'
'y,x,z'
'-x,y+1/2,-z'
'x,-y+1/2,z'
'y+1/2,x+1/2,-z'
'-y+1/2,-x+1/2,z'
loop_
_atom_site_label
_atom_site_fract_x
_atom_site_fract_y
_atom_site_fract_z
_atom_site_occupancy
Sm1 0.2500 0.2500 0.1481 1
Dy1 0.2500 0.7500 0.5000 1
In1 0.2500 0.2500 0.7663 1
```

Main lines, low angle first (10 to 80 degrees two-theta):
28.6°, rel. 22, hkl 1 0 2; 29.0°, rel. 100, hkl 1 1 1; 32.1°, rel. 32, hkl 0 0 3; 34.5°, rel. 93, hkl 1 1 2; 37.5°, rel. 19, hkl 1 0 3; 38.4°, rel. 63, hkl 2 0 0; 50.9°, rel. 35, hkl 2 0 3; 55.4°, rel. 22, hkl 2 2 0; 63.7°, rel. 21, hkl 3 1 1; 66.9°, rel. 27, hkl 3 1 2

***

4.
Ac4TaN5: simulated powder diffractogram (Cu Kα, 1.54184 Å), based on the PBE geometry in Alexandria.
Kinematic intensities with the Lorentz-polarization factor, no thermal factor.

Atomic structure:
```
data_Ac4TaN5
_chemical_formula_sum 'Ac8 Ta2 N10'
_space_group_name_H-M_alt 'I 4'
_space_group_IT_number 79
_space_group_name_Hall 'I 4'
_cell_length_a 8.2411
_cell_length_b 8.2411
_cell_length_c 5.5502
_cell_angle_alpha 90.00
_cell_angle_beta 90.00
_cell_angle_gamma 90.00
loop_
_atom_site_label
_atom_site_fract_x
_atom_site_fract_y
_atom_site_fract_z
_atom_site_occupancy
Ac1 0.1111 0.3039 0.0000 1
Ta1 0.0000 0.0000 0.4394 1
N1 0.0000 0.0000 0.0939 1
N2 0.0852 0.2481 0.4958 1
```

Main lines, low angle first (10 to 80 degrees two-theta):
29.1°, rel. 100, hkl 2 1 1; 32.3°, rel. 23, hkl 0 0 2; 34.4°, rel. 40, hkl 1 3 0; 47.9°, rel. 29, hkl 1 3 2; 49.5°, rel. 14, hkl 4 2 0; 55.6°, rel. 17, hkl 2 1 3; 58.4°, rel. 30, hkl 5 0 1; 60.3°, rel. 15, hkl 4 2 2; 77.6°, rel. 12, hkl 5 0 3; 80.0°, rel. 6, hkl 6 3 1

***

5.
Tb2Er5Ga4: simulated powder diffractogram (Cu Kα, 1.54184 Å), based on the PBE geometry in Alexandria.
Kinematic intensities with the Lorentz-polarization factor, no thermal factor.

Atomic structure:
```
data_Tb2Er5Ga4
_chemical_formula_sum 'Tb4 Er10 Ga8'
_space_group_name_H-M_alt 'I m m m'
_space_group_IT_number 71
_space_group_name_Hall '-I 2 2'
_cell_length_a 4.6193
_cell_length_b 10.6987
_cell_length_c 13.4071
_cell_angle_alpha 90.00
_cell_angle_beta 90.00
_cell_angle_gamma 90.00
loop_
_atom_site_label
_atom_site_fract_x
_atom_site_fract_y
_atom_site_fract_z
_atom_site_occupancy
Tb1 0.0000 0.0000 0.1959 1
Er1 0.0000 0.3328 0.1499 1
Er2 0.0000 0.5000 0.5000 1
Ga1 0.0000 0.0000 0.4077 1
Ga2 0.0000 0.1432 0.0000 1
```

Main lines, low angle first (10 to 80 degrees two-theta):
20.3°, rel. 32, hkl 1 0 1; 26.3°, rel. 47, hkl 1 2 1; 27.8°, rel. 95, hkl 1 0 3; 31.7°, rel. 58, hkl 1 3 0; 32.1°, rel. 59, hkl 0 3 3; 34.5°, rel. 100, hkl 0 1 5; 39.0°, rel. 51, hkl 2 0 0; 41.8°, rel. 61, hkl 1 3 4; 51.4°, rel. 31, hkl 2 3 3; 59.3°, rel. 33, hkl 1 6 3

***

6.
Sm3DyTl2O: simulated powder diffractogram (Cu Kα, 1.54184 Å), based on the PBE geometry in Alexandria.
Kinematic intensities with the Lorentz-polarization factor, no thermal factor.

Atomic structure:
```
data_Sm3DyTl2O
_chemical_formula_sum 'Sm6 Dy2 Tl4 O2'
_space_group_name_H-M_alt 'I m m m'
_space_group_IT_number 71
_space_group_name_Hall '-I 2 2'
_cell_length_a 4.6684
_cell_length_b 4.7696
_cell_length_c 16.7296
_cell_angle_alpha 90.00
_cell_angle_beta 90.00
_cell_angle_gamma 90.00
loop_
_atom_site_label
_atom_site_fract_x
_atom_site_fract_y
_atom_site_fract_z
_atom_site_occupancy
Sm1 0.0000 0.0000 0.0000 1
Sm2 0.0000 0.5000 0.1716 1
Dy1 0.0000 0.0000 0.5000 1
Tl1 0.0000 0.5000 0.3615 1
O1 0.0000 0.5000 0.0000 1
```

Main lines, low angle first (10 to 80 degrees two-theta):
26.7°, rel. 26, hkl 1 1 0; 28.8°, rel. 71, hkl 1 1 2; 32.1°, rel. 32, hkl 0 0 6; 34.4°, rel. 100, hkl 1 1 4; 37.7°, rel. 33, hkl 0 2 0; 38.6°, rel. 31, hkl 2 0 0; 50.3°, rel. 18, hkl 0 2 6; 51.0°, rel. 24, hkl 2 0 6; 55.1°, rel. 22, hkl 2 2 0; 65.2°, rel. 17, hkl 2 2 6

***

7.
La2Tm7Sc2: simulated powder diffractogram (Cu Kα, 1.54184 Å), based on the PBE geometry in Alexandria.
Kinematic intensities with the Lorentz-polarization factor, no thermal factor.

Atomic structure:
```
data_La2Tm7Sc2
_chemical_formula_sum 'La4 Tm14 Sc4'
_space_group_name_H-M_alt 'I m m 2'
_space_group_IT_number 44
_space_group_name_Hall 'I 2 -2'
_cell_length_a 3.5131
_cell_length_b 17.1464
_cell_length_c 11.4822
_cell_angle_alpha 90.00
_cell_angle_beta 90.00
_cell_angle_gamma 90.00
loop_
_atom_site_label
_atom_site_fract_x
_atom_site_fract_y
_atom_site_fract_z
_atom_site_occupancy
La1 0.0000 0.2065 0.0000 1
Tm1 0.0000 0.0000 0.9171 1
Tm2 0.0000 0.1074 0.4912 1
Tm3 0.0000 0.3327 0.2447 1
Tm4 0.0000 0.3370 0.7538 1
Sc1 0.0000 0.0000 0.2228 1
Sc2 0.0000 0.5000 0.1713 1
```

Main lines, low angle first (10 to 80 degrees two-theta):
27.1°, rel. 51, hkl 0 5 1; 30.3°, rel. 85, hkl 1 1 2; 31.2°, rel. 52, hkl 0 0 4; 33.8°, rel. 100, hkl 1 3 2; 33.9°, rel. 38, hkl 1 4 1; 35.1°, rel. 57, hkl 0 6 2; 52.1°, rel. 22, hkl 2 0 0; 54.8°, rel. 32, hkl 1 9 0; 57.1°, rel. 37, hkl 1 3 6; 64.4°, rel. 41, hkl 1 9 4